(1)
This entry pairs a crystal structure of Li2Mg2Ga with its calculated X-ray diffraction stick pattern. Radiation: Cu Kα (λ = 1.5418 Å). Structure: a GGA-PBE-relaxed structure.

Main lines, low angle first (10° ≤ 2θ ≤ 90°):
d/Å  2θ (°)  Rel. int.
6.426  13.8  72.5
4.897  18.1  53.0
4.311  20.6  70.6
2.957  30.2  32.2
2.732  32.8  27.9
2.570  34.9  32.7
2.495  36.0  96.7
2.289  39.4  100.0
1.790  51.0  21.5
1.397  67.0  26.0

Atomic structure:
```
Li2Mg2Ga
1.0
-1.612 2.494 12.851
1.612 -2.494 12.851
1.612 2.494 -12.851
Li Mg Ga
4 4 2
direct
0.153 0.903 0.250
0.277 0.027 0.250
0.723 0.973 0.750
0.847 0.097 0.750
0.053 0.303 0.750
0.449 0.199 0.250
0.551 0.801 0.750
0.947 0.697 0.250
0.361 0.611 0.750
0.639 0.389 0.250
```

***

(2)
This entry pairs a crystal structure of La2IrS2 with its calculated X-ray diffraction stick pattern. Radiation: Cu Kα (λ = 1.5418 Å). Structure: a GGA-PBE-relaxed structure.

Main lines, low angle first (10° ≤ 2θ ≤ 90°):
d/Å  2θ (°)  Rel. int.
4.600  19.3  58.7
2.829  31.6  86.9
2.811  31.8  100.0
2.410  37.3  23.2
2.387  37.7  21.8
2.000  45.3  31.7
1.825  50.0  19.3
1.630  56.5  40.6
1.619  56.9  28.1
1.405  66.5  17.5

Atomic structure:
```
La2IrS2
1.0
-2.829 2.829 3.950
2.829 -2.829 3.950
2.829 2.829 -3.950
La Ir S
2 1 2
direct
0.250 0.750 0.500
0.750 0.250 0.500
0.000 0.000 0.000
0.295 0.295 0.000
0.705 0.705 0.000
```

***

(3)
This entry pairs a crystal structure of Tb3RhI3 with its calculated X-ray diffraction stick pattern. Radiation: Cu Kα (λ = 1.5418 Å). Structure: a GGA-PBE-relaxed structure.

Main lines, low angle first (10° ≤ 2θ ≤ 90°):
d/Å  2θ (°)  Rel. int.
3.200  27.9  13.5
3.087  28.9  52.6
3.061  29.2  100.0
2.941  30.4  32.8
2.429  37.0  18.6
2.409  37.3  14.2
2.224  40.6  14.5
2.220  40.6  40.4
2.099  43.1  28.3
1.736  52.7  19.5

Atomic structure:
```
Tb3RhI3
1.0
8.961 0.000 0.000
0.000 4.198 0.000
-0.745 0.000 12.347
Tb Rh I
6 2 6
direct
0.099 0.250 0.321
0.135 0.250 0.872
0.261 0.750 0.104
0.739 0.250 0.896
0.865 0.750 0.128
0.901 0.750 0.679
0.057 0.250 0.095
0.943 0.750 0.905
0.145 0.250 0.606
0.357 0.750 0.363
0.423 0.750 0.867
0.577 0.250 0.133
0.643 0.250 0.637
0.855 0.750 0.394
```